Record 1
Sr2Tm3Tl4: simulated PXRD pattern (Cu Kα (weighted mean of Kα1 and Kα2)), based on a crystal structure in Alexandria, relaxed with PBE.

Structural model:
Cell lengths 9.6797, 9.6797, 8.8680 Å; angles 90.00, 90.00, 136.21 degrees
Element x y z (fractional)
Sr 0.1052 0.8948 0.9128
Sr 0.3948 0.6052 0.4128
Sr 0.6052 0.3948 0.5872
Sr 0.8948 0.1052 0.0872
Tm 0.0000 0.0000 0.5000
Tm 0.0257 0.4743 0.7500
Tm 0.4743 0.0257 0.2500
Tm 0.5000 0.5000 0.0000
Tm 0.5257 0.9743 0.7500
Tm 0.9743 0.5257 0.2500
Tl 0.1786 0.8214 0.5358
Tl 0.1955 0.3045 0.7500
Tl 0.3045 0.1955 0.2500
Tl 0.3214 0.6786 0.0358
Tl 0.6786 0.3214 0.9642
Tl 0.6955 0.8045 0.7500
Tl 0.8045 0.6955 0.2500
Tl 0.8214 0.1786 0.4642

The 10 most intense peaks (15° ≤ 2θ ≤ 90°), in order of rising 2θ:
2theta	intensity
16.6	25
28.5	40
29.5	53
31.5	25
31.9	39
32.0	100
36.2	26
39.1	23
40.4	21
50.6	17

Record 2
In8GaHg5: simulated PXRD pattern (Cu Kα (weighted mean of Kα1 and Kα2)), based on a crystal structure in Alexandria, relaxed with PBE.

Structural model:
Cell lengths 8.2941, 8.2941, 10.5444 Å; angles 129.46, 129.46, 46.71 degrees
Element x y z (fractional)
In 0.0632 0.0632 0.2303
In 0.0962 0.5829 0.9016
In 0.3495 0.1336 0.6235
In 0.4171 0.9038 0.0984
In 0.5335 0.2330 0.1505
In 0.7670 0.4665 0.8495
In 0.8664 0.6505 0.3765
In 0.9368 0.9368 0.7697
Ga 0.8835 0.1165 0.5000
Hg 0.0905 0.6713 0.2421
Hg 0.3287 0.9095 0.7579
Hg 0.4033 0.3207 0.4737
Hg 0.6311 0.3689 0.0000
Hg 0.6793 0.5967 0.5263

The 10 most intense peaks (15° ≤ 2θ ≤ 90°), in order of rising 2θ:
2theta	intensity
27.1	43
27.9	32
29.6	54
32.7	91
33.2	100
36.5	37
37.7	97
37.9	30
38.4	67
42.0	30